(1)
Computed powder XRD pattern of K2GaAgF6 for Cu Kα X-rays, from a crystal structure in the Materials Project, relaxed with GGA-PBE.
Peak positions follow from Bragg's law for the DFT cell and can differ from measured ones.

Atomic structure:
```
data_K2GaAgF6
_chemical_formula_sum 'K8 Ga4 Ag4 F24'
_space_group_name_H-M_alt 'F m -3 m'
_space_group_IT_number 225
_space_group_name_Hall '-F 4 2 3'
_cell_length_a 8.6840
_cell_length_b 8.6840
_cell_length_c 8.6840
_cell_angle_alpha 90.00
_cell_angle_beta 90.00
_cell_angle_gamma 90.00
loop_
_atom_site_label
_atom_site_fract_x
_atom_site_fract_y
_atom_site_fract_z
_atom_site_occupancy
K1 0.2500 0.2500 0.2500 1
Ga1 0.0000 0.0000 0.0000 1
Ag1 0.0000 0.0000 0.5000 1
F1 0.0000 0.0000 0.2217 1
```

Main lines, by intensity (5° ≤ 2θ ≤ 70°):
d 3.070, I = 100.0
d 2.171, I = 47.0
d 4.342, I = 46.7
d 1.773, I = 35.5
d 1.535, I = 26.1
d 1.942, I = 18.5
d 1.373, I = 18.0
d 1.447, I = 8.3
d 1.992, I = 5.1
d 2.618, I = 4.9

(2)
Computed powder XRD pattern of Si for Cu Kα X-rays, from a crystal structure in the Materials Project, relaxed with GGA-PBE.
Peak positions follow from Bragg's law for the DFT cell and can differ from measured ones.

Atomic structure:
```
data_Si
_chemical_formula_sum 'Si16'
_space_group_name_H-M_alt 'I a -3'
_space_group_IT_number 206
_space_group_name_Hall '-I 2b 2c 3'
_cell_length_a 6.6556
_cell_length_b 6.6556
_cell_length_c 6.6556
_cell_angle_alpha 90.00
_cell_angle_beta 90.00
_cell_angle_gamma 90.00
loop_
_atom_site_label
_atom_site_fract_x
_atom_site_fract_y
_atom_site_fract_z
_atom_site_occupancy
Si1 0.1484 0.1484 0.1484 1
```

Main lines, by intensity (5° ≤ 2θ ≤ 70°):
d 2.717, I = 100.0
d 1.779, I = 70.6
d 3.328, I = 18.2
d 1.664, I = 17.5
d 1.569, I = 5.9
d 1.419, I = 5.5
d 1.488, I = 4.1
d 2.353, I = 1.1

(3)
Computed powder XRD pattern of RbGdSe2 for Cu Kα X-rays, from a crystal structure in the Materials Project, relaxed with GGA-PBE.
Peak positions follow from Bragg's law for the DFT cell and can differ from measured ones.

Atomic structure:
```
data_RbGdSe2
_chemical_formula_sum 'Rb3 Gd3 Se6'
_space_group_name_H-M_alt 'R -3 m'
_space_group_IT_number 166
_space_group_name_Hall '-R 3 2"'
_cell_length_a 4.2969
_cell_length_b 4.2969
_cell_length_c 23.9751
_cell_angle_alpha 90.00
_cell_angle_beta 90.00
_cell_angle_gamma 120.00
loop_
_atom_site_label
_atom_site_fract_x
_atom_site_fract_y
_atom_site_fract_z
_atom_site_occupancy
Rb1 0.0000 0.0000 0.0000 1
Gd1 0.0000 0.0000 0.5000 1
Se1 0.0000 0.0000 0.2321 1
```

Main lines, by intensity (5° ≤ 2θ ≤ 70°):
d 3.161, I = 100.0
d 2.148, I = 36.4
d 2.334, I = 33.7
d 7.992, I = 28.1
d 1.777, I = 18.6
d 1.369, I = 15.6
d 2.520, I = 11.9
d 1.463, I = 10.1
d 1.581, I = 9.9
d 1.881, I = 7.3

(4)
Computed powder XRD pattern of Na4TaAl3P6O24 for Cu Kα X-rays, from a crystal structure in the Materials Project, relaxed with GGA-PBE.
Peak positions follow from Bragg's law for the DFT cell and can differ from measured ones.

Atomic structure:
```
data_Na4TaAl3P6O24
_chemical_formula_sum 'Na4 Ta1 Al3 P6 O24'
_space_group_name_H-M_alt 'P 1'
_space_group_IT_number 1
_cell_length_a 8.5792
_cell_length_b 8.5808
_cell_length_c 8.7308
_cell_angle_alpha 60.68
_cell_angle_beta 60.69
_cell_angle_gamma 60.06
loop_
_space_group_symop_operation_xyz
'x,y,z'
loop_
_atom_site_label
_atom_site_fract_x
_atom_site_fract_y
_atom_site_fract_z
_atom_site_occupancy
Na1 0.0000 0.0000 0.0000 1
Na2 0.1025 0.7551 0.7374 1
Na3 0.3636 0.3647 0.9983 1
Na4 0.6181 0.2719 0.2355 1
Ta1 0.4737 0.1117 0.6682 1
Al1 0.2563 0.8957 0.3168 1
Al2 0.7609 0.4072 0.8017 1
Al3 0.9613 0.6067 0.1857 1
P1 0.0652 0.2941 0.0041 1
P2 0.1383 0.2177 0.4925 1
P3 0.3659 0.7069 0.0052 1
P4 0.5747 0.5175 0.4961 1
P5 0.6513 0.9969 0.0064 1
P6 0.8771 0.7817 0.4880 1
O1 0.0429 0.8112 0.4792 1
O2 0.0492 0.4765 0.0126 1
O3 0.1017 0.1165 0.1702 1
O4 0.1173 0.3871 0.3157 1
O5 0.1670 0.0328 0.4811 1
O6 0.1930 0.6867 0.0092 1
O7 0.2441 0.2609 0.8272 1
O8 0.3285 0.1933 0.5065 1
O9 0.3298 0.7459 0.1730 1
O10 0.3898 0.6846 0.4836 1
O11 0.3951 0.8853 0.8279 1
O12 0.4720 0.9757 0.1706 1
O13 0.5390 0.5259 0.9817 1
O14 0.5510 0.3383 0.5077 1
O15 0.5997 0.4655 0.6805 1
O16 0.6188 0.0369 0.8264 1
O17 0.6774 0.1741 0.9861 1
O18 0.6970 0.9714 0.5037 1
O19 0.7464 0.5439 0.3257 1
O20 0.8296 0.6190 0.6627 1
O21 0.8380 0.8282 0.0129 1
O22 0.8887 0.3165 0.9786 1
O23 0.9077 0.7647 0.3079 1
O24 0.9774 0.2470 0.6730 1
```

Main lines, by intensity (5° ≤ 2θ ≤ 70°):
d 3.686, I = 100.0
d 2.758, I = 67.6
d 6.123, I = 54.9
d 7.029, I = 54.1
d 4.368, I = 50.2
d 4.291, I = 49.2
d 3.062, I = 34.1
d 2.786, I = 31.1
d 2.478, I = 30.1
d 1.843, I = 23.6

(5)
Computed powder XRD pattern of Tl2CdSnTe4 for Cu Kα X-rays, from a crystal structure in the Materials Project, relaxed with GGA-PBE.
Peak positions follow from Bragg's law for the DFT cell and can differ from measured ones.

Atomic structure:
```
data_Tl2CdSnTe4
_chemical_formula_sum 'Tl4 Cd2 Sn2 Te8'
_space_group_name_H-M_alt 'I -4 2 m'
_space_group_IT_number 121
_space_group_name_Hall 'I -4 2'
_cell_length_a 8.6720
_cell_length_b 8.6720
_cell_length_c 7.3018
_cell_angle_alpha 90.00
_cell_angle_beta 90.00
_cell_angle_gamma 90.00
loop_
_atom_site_label
_atom_site_fract_x
_atom_site_fract_y
_atom_site_fract_z
_atom_site_occupancy
Tl1 0.0000 0.5000 0.0000 1
Cd1 0.0000 0.0000 0.0000 1
Sn1 0.0000 0.0000 0.5000 1
Te1 0.1802 0.1802 0.7398 1
```

Main lines, by intensity (5° ≤ 2θ ≤ 70°):
d 2.793, I = 100.0
d 3.066, I = 49.9
d 3.425, I = 45.3
d 1.939, I = 18.7
d 1.864, I = 18.4
d 1.712, I = 18.4
d 2.021, I = 16.9
d 4.336, I = 16.4
d 2.742, I = 14.0
d 1.569, I = 13.7

(6)
Computed powder XRD pattern of PrCuSi for Cu Kα X-rays, from a crystal structure in the Materials Project, relaxed with GGA-PBE.
Peak positions follow from Bragg's law for the DFT cell and can differ from measured ones.

Atomic structure:
```
data_PrCuSi
_chemical_formula_sum 'Pr2 Cu2 Si2'
_space_group_name_H-M_alt 'P 63/m m c'
_space_group_IT_number 194
_space_group_name_Hall '-P 6c 2c'
_cell_length_a 4.2400
_cell_length_b 4.2400
_cell_length_c 8.0419
_cell_angle_alpha 90.00
_cell_angle_beta 90.00
_cell_angle_gamma 120.00
loop_
_atom_site_label
_atom_site_fract_x
_atom_site_fract_y
_atom_site_fract_z
_atom_site_occupancy
Pr1 0.0000 0.0000 0.0000 1
Cu1 0.3333 0.6667 0.2500 1
Si1 0.3333 0.6667 0.7500 1
```

Main lines, by intensity (5° ≤ 2θ ≤ 70°):
d 2.711, I = 100.0
d 2.120, I = 38.6
d 3.672, I = 25.6
d 1.670, I = 23.0
d 1.459, I = 22.6
d 2.010, I = 10.9
d 1.763, I = 6.8
d 3.340, I = 5.8
d 1.836, I = 3.8
d 1.388, I = 3.1

(7)
Computed powder XRD pattern of HoIn for Cu Kα X-rays, from a crystal structure in the Materials Project, relaxed with GGA-PBE.
Peak positions follow from Bragg's law for the DFT cell and can differ from measured ones.

Atomic structure:
```
data_HoIn
_chemical_formula_sum 'Ho1 In1'
_space_group_name_H-M_alt 'P m -3 m'
_space_group_IT_number 221
_space_group_name_Hall '-P 4 2 3'
_cell_length_a 3.7441
_cell_length_b 3.7441
_cell_length_c 3.7441
_cell_angle_alpha 90.00
_cell_angle_beta 90.00
_cell_angle_gamma 90.00
loop_
_atom_site_label
_atom_site_fract_x
_atom_site_fract_y
_atom_site_fract_z
_atom_site_occupancy
Ho1 0.0000 0.0000 0.0000 1
In1 0.5000 0.5000 0.5000 1
```

Main lines, by intensity (5° ≤ 2θ ≤ 70°):
d 2.647, I = 100.0
d 1.529, I = 36.8
d 1.872, I = 17.9
d 3.744, I = 3.2
d 1.674, I = 1.5
d 2.162, I = 1.0

> What is the formula in the fifth record?

Tl2CdSnTe4